1.
Structure and computed powder diffractogram of PrY3HoTm (a structure optimized by DFT (PBE); Cu Kα).

Crystal structure
Cell: 5.054 15.169 10.110 Å, 90.00 90.00 90.00°
Space group Cmcm (No. 63)
Unique sites:
Pr 0.000 0.000 0.000 x4
Y 0.000 0.167 0.250 x4
Y 0.000 0.333 0.000 x8
Ho 0.000 0.499 0.250 x4
Tm 0.000 0.167 0.750 x4

Main lines, sorted by position (2θ from 10° to 90°):
- 11.67°, rel. 3
- 14.60°, rel. 2
- 30.63°, rel. 100
- 35.52°, rel. 50
- 51.11°, rel. 36
- 60.77°, rel. 42
- 63.78°, rel. 12
- 75.18°, rel. 6
- 83.33°, rel. 17
- 86.00°, rel. 16



2.
Structure and computed powder diffractogram of PrYHoTm2 (a structure optimized by DFT (PBE); Cu Kα).

Crystal structure
Cell: 8.364 11.463 7.208 Å, 90.00 90.00 90.00°
Space group Cmcm (No. 63)
Unique sites:
Pr 0.000 0.228 0.250 x4
Y 0.000 0.498 0.750 x4
Ho 0.000 0.219 0.750 x4
Tm 0.188 0.000 0.000 x8

Main lines, sorted by position (2θ from 10° to 90°):
- 26.38°, rel. 82
- 29.27°, rel. 94
- 31.21°, rel. 62
- 32.81°, rel. 100
- 33.07°, rel. 29
- 35.90°, rel. 52
- 40.03°, rel. 43
- 45.91°, rel. 62
- 58.02°, rel. 38
- 66.24°, rel. 35



3.
Structure and computed powder diffractogram of Pr2YHo2Tm2 (a structure optimized by DFT (PBE); Cu Kα).

Crystal structure
Cell: 11.736 3.517 11.824 Å, 90.00 109.05 90.00°
Space group C2/m (No. 12)
Unique sites:
Pr 0.172 0.000 0.086 x4
Y 0.000 0.500 0.500 x2
Ho 0.049 0.000 0.769 x4
Tm 0.226 0.500 0.365 x4

Main lines, sorted by position (2θ from 10° to 90°):
- 28.54°, rel. 47
- 30.57°, rel. 71
- 30.78°, rel. 85
- 32.47°, rel. 100
- 33.05°, rel. 54
- 35.27°, rel. 74
- 38.03°, rel. 30
- 51.57°, rel. 39
- 53.90°, rel. 26
- 61.55°, rel. 42



4.
Structure and computed powder diffractogram of Pr2Y5Ho4 (a structure optimized by DFT (PBE); Cu Kα).

Crystal structure
Cell: 16.604 6.692 6.692 Å, 90.00 99.63 90.00°
Space group C2/m (No. 12)
Unique sites:
Pr 0.202 0.000 0.297 x4
Y 0.000 0.000 0.500 x2
Y 0.089 0.262 0.908 x8
Ho 0.087 0.500 0.405 x4
Ho 0.244 0.000 0.803 x4

Main lines, sorted by position (2θ from 10° to 90°):
- 26.64°, rel. 36
- 28.82°, rel. 30
- 29.93°, rel. 60
- 30.39°, rel. 67
- 30.87°, rel. 100
- 31.39°, rel. 58
- 32.18°, rel. 89
- 32.71°, rel. 71
- 32.83°, rel. 33
- 64.31°, rel. 33



5.
Structure and computed powder diffractogram of Pr3Y8Ho2 (a structure optimized by DFT (PBE); Cu Kα).

Crystal structure
Cell: 20.142 7.774 5.711 Å, 90.00 90.03 90.00°
Space group C2/m (No. 12)
Unique sites:
Pr 0.000 0.000 0.000 x2
Pr 0.000 0.293 0.500 x4
Y 0.109 0.291 0.000 x8
Y 0.136 0.000 0.500 x4
Y 0.174 0.500 0.501 x4
Ho 0.241 0.000 0.999 x4

Main lines, sorted by position (2θ from 10° to 90°):
- 24.55°, rel. 27
- 29.47°, rel. 32
- 30.90°, rel. 32
- 31.33°, rel. 42
- 33.07°, rel. 100
- 34.91°, rel. 10
- 35.66°, rel. 13
- 40.20°, rel. 15
- 48.19°, rel. 11
- 56.88°, rel. 21



6.
Structure and computed powder diffractogram of Pr7YHo12 (a structure optimized by DFT (PBE); Cu Kα).

Crystal structure
Cell: 12.0197 12.0197 16.3233 Å, 90.00 90.00 120.00°
Space group R-3 (No. 148, hexagonal axes)
Unique sites:
Pr 0.0000 0.0000 0.0000 x3
Pr 0.0550 0.8684 0.2882 x18
Y 0.0000 0.0000 0.5000 x3
Ho 0.0254 0.5768 0.2220 x18
Ho 0.0520 0.4659 0.5829 x18

Main lines, sorted by position (2θ from 10° to 90°):
- 28.66°, rel. 22
- 30.56°, rel. 40
- 31.47°, rel. 100
- 31.59°, rel. 46
- 32.37°, rel. 23
- 32.91°, rel. 56
- 36.24°, rel. 15
- 50.35°, rel. 20
- 55.08°, rel. 24
- 58.45°, rel. 17



7.
Structure and computed powder diffractogram of Pr4YHo3 (a structure optimized by DFT (PBE); Cu Kα).

Crystal structure
Cell: 24.310 3.651 6.293 Å, 90.00 104.91 90.00°
Space group C2/m (No. 12)
Unique sites:
Pr 0.123 0.000 0.457 x4
Pr 0.248 0.000 0.246 x4
Y 0.000 0.000 0.000 x2
Ho 0.000 0.500 0.500 x2
Ho 0.123 0.500 0.954 x4

Main lines, sorted by position (2θ from 10° to 90°):
- 29.30°, rel. 49
- 30.44°, rel. 42
- 32.20°, rel. 100
- 32.30°, rel. 19
- 36.57°, rel. 28
- 50.16°, rel. 21
- 55.21°, rel. 22
- 59.64°, rel. 12
- 59.81°, rel. 25
- 60.74°, rel. 13



8.
Structure and computed powder diffractogram of Pr4Y2Ho (a structure optimized by DFT (PBE); Cu Kα).

Crystal structure
Cell: 12.110 24.533 6.532 Å, 90.00 90.00 90.00°
Space group Fdd2 (No. 43)
Unique sites:
Pr 0.051 0.070 0.000 x16
Pr 0.069 0.143 0.531 x16
Y 0.025 0.216 0.053 x16
Ho 0.000 0.000 0.494 x8

Main lines, sorted by position (2θ from 10° to 90°):
- 28.23°, rel. 13
- 29.86°, rel. 100
- 30.41°, rel. 36
- 31.11°, rel. 62
- 31.81°, rel. 37
- 31.98°, rel. 29
- 36.64°, rel. 25
- 49.88°, rel. 20
- 54.51°, rel. 15
- 59.90°, rel. 14